Diffraction record for PrBr3O6. The powder diffraction line list is calculated, not measured: it uses a cell relaxed with GGA-PBE and Cu Kα, 1.54184 Å.

Structural model:
abc: 6.4279 7.7016 11.1588
angles: 90.00 107.75 90.00
Positions (direct):
Pr 0.0000 0.0776 0.2500
Pr 0.0000 0.9224 0.7500
Br 0.1583 0.2138 0.9788
Br 0.1583 0.7862 0.4788
Br 0.5000 0.2116 0.7500
Br 0.5000 0.7884 0.2500
Br 0.8417 0.2138 0.5212
Br 0.8417 0.7862 0.0212
O 0.0130 0.2529 0.0930
O 0.0130 0.7471 0.5930
O 0.3360 0.0779 0.8106
O 0.3360 0.9221 0.3106
O 0.4455 0.3597 0.2874
O 0.4455 0.6403 0.7874
O 0.5545 0.3597 0.2126
O 0.5545 0.6403 0.7126
O 0.6640 0.0779 0.6894
O 0.6640 0.9221 0.1894
O 0.9870 0.2529 0.4070
O 0.9870 0.7471 0.9070

Largest 10 diffraction maxima, sorted by position, 10° ≤ 2θ ≤ 80°:
2theta, I_rel
11.49, 100
14.47, 29
18.51, 32
22.09, 96
27.51, 44
28.88, 27
29.74, 29
29.95, 41
33.73, 28
34.54, 27

***

Diffraction record for PrBr3O6. The powder diffraction line list is calculated, not measured: it uses a cell relaxed with GGA-PBE and Cu Kα, 1.54184 Å.

Structural model:
abc: 5.5912 6.5206 11.9359
angles: 90.00 96.32 90.00
Positions (direct):
Pr 0.0000 0.1154 0.2500
Pr 0.0000 0.8846 0.7500
Br 0.2037 0.3089 0.9651
Br 0.2037 0.6911 0.4651
Br 0.5000 0.4704 0.7500
Br 0.5000 0.5296 0.2500
Br 0.7963 0.3089 0.5349
Br 0.7963 0.6911 0.0349
O 0.1702 0.1520 0.0799
O 0.1702 0.8480 0.5799
O 0.2341 0.1512 0.8480
O 0.2341 0.8488 0.3480
O 0.2960 0.3714 0.3118
O 0.2960 0.6286 0.8118
O 0.7040 0.3714 0.1882
O 0.7040 0.6286 0.6882
O 0.7659 0.1512 0.6520
O 0.7659 0.8488 0.1520
O 0.8298 0.1520 0.4201
O 0.8298 0.8480 0.9201

Largest 10 diffraction maxima, sorted by position, 10° ≤ 2θ ≤ 80°:
2theta, I_rel
21.00, 60
22.91, 100
24.81, 31
26.36, 25
26.89, 52
29.61, 39
30.13, 28
31.31, 26
34.09, 27
42.78, 25

***

Diffraction record for PrPuBrO4. The powder diffraction line list is calculated, not measured: it uses a cell relaxed with GGA-PBE and Cu Kα, 1.54184 Å.

Structural model:
abc: 7.3566 7.3566 6.7503
angles: 108.48 108.48 58.98
Positions (direct):
Pr 0.2187 0.2187 0.0836
Pr 0.7813 0.7813 0.9164
Pu 0.3749 0.3749 0.7762
Pu 0.6251 0.6251 0.2238
Br 0.0290 0.0290 0.2673
Br 0.9710 0.9710 0.7327
O 0.0754 0.4513 0.8100
O 0.3322 0.3322 0.4819
O 0.4264 0.4264 0.0883
O 0.4513 0.0754 0.8100
O 0.5487 0.9246 0.1900
O 0.5736 0.5736 0.9117
O 0.6678 0.6678 0.5181
O 0.9246 0.5487 0.1900

Largest 10 diffraction maxima, sorted by position, 10° ≤ 2θ ≤ 80°:
2theta, I_rel
14.09, 44
16.34, 32
24.02, 77
24.58, 100
24.95, 45
31.67, 74
34.63, 52
37.24, 50
42.86, 34
47.93, 31

***

Repeat the third record exactly.
Diffraction record for PrPuBrO4. The powder diffraction line list is calculated, not measured: it uses a cell relaxed with GGA-PBE and Cu Kα, 1.54184 Å.

Structural model:
abc: 7.3566 7.3566 6.7503
angles: 108.48 108.48 58.98
Positions (direct):
Pr 0.2187 0.2187 0.0836
Pr 0.7813 0.7813 0.9164
Pu 0.3749 0.3749 0.7762
Pu 0.6251 0.6251 0.2238
Br 0.0290 0.0290 0.2673
Br 0.9710 0.9710 0.7327
O 0.0754 0.4513 0.8100
O 0.3322 0.3322 0.4819
O 0.4264 0.4264 0.0883
O 0.4513 0.0754 0.8100
O 0.5487 0.9246 0.1900
O 0.5736 0.5736 0.9117
O 0.6678 0.6678 0.5181
O 0.9246 0.5487 0.1900

Largest 10 diffraction maxima, sorted by position, 10° ≤ 2θ ≤ 80°:
2theta, I_rel
14.09, 44
16.34, 32
24.02, 77
24.58, 100
24.95, 45
31.67, 74
34.63, 52
37.24, 50
42.86, 34
47.93, 31